1.
For Fe2CuNi5, a crystal structure in Alexandria, relaxed with GGA-PBE gives the computed X-ray powder pattern in this record (Cu Kα (weighted mean of Kα1 and Kα2)).
Neutral-atom scattering factors, no anomalous dispersion.

Peak list (5 most intense, 10 to 80 degrees two-theta, in order of rising 2θ)
2θ (°), d/Å, Rel. int.
44.1, 2.053, 100
50.9, 1.793, 32
52.3, 1.750, 15
74.9, 1.268, 9
76.0, 1.252, 17

Structure:
abc: 5.0719 5.0719 6.9993
angles: 90.00 90.00 90.00
Space group I4/mmm (No. 139)
Inequivalent atoms, fractional coordinates:
Fe1 0.0000 0.5000 0.0000
Cu1 0.0000 0.0000 0.0000
Ni1 0.0000 0.0000 0.5000
Ni2 0.2500 0.2500 0.2500

***

2.
For Tl3Te2Pd4, a crystal structure in Alexandria, relaxed with GGA-PBE gives the computed X-ray powder pattern in this record (Cu Kα (weighted mean of Kα1 and Kα2)).
Neutral-atom scattering factors, no anomalous dispersion.

Peak list (10 most intense, 10 to 80 degrees two-theta, in order of rising 2θ)
2θ (°), d/Å, Rel. int.
25.7, 3.469, 35
29.4, 3.035, 100
31.4, 2.845, 93
33.9, 2.644, 48
34.6, 2.592, 27
35.0, 2.564, 44
36.4, 2.469, 56
37.5, 2.400, 37
41.7, 2.168, 33
45.1, 2.011, 42

Structure:
abc: 13.4397 8.7609 7.5275
angles: 90.00 106.81 90.00
Space group C2/c (No. 15)
Inequivalent atoms, fractional coordinates:
Tl1 0.0000 0.0428 0.2500
Tl2 0.0657 0.3528 0.9695
Te1 0.2011 0.1667 0.6734
Pd1 0.1063 0.3403 0.3672
Pd2 0.2189 0.1123 0.0504

***

3.
For Nd2TaBr, a crystal structure in Alexandria, relaxed with GGA-PBE gives the computed X-ray powder pattern in this record (Cu Kα (weighted mean of Kα1 and Kα2)).
Neutral-atom scattering factors, no anomalous dispersion.

Peak list (10 most intense, 10 to 80 degrees two-theta, in order of rising 2θ)
2θ (°), d/Å, Rel. int.
24.2, 3.681, 23
31.1, 2.880, 82
31.4, 2.848, 100
32.4, 2.761, 52
38.0, 2.370, 23
41.5, 2.178, 86
43.4, 2.086, 43
55.0, 1.669, 43
65.3, 1.428, 42
70.5, 1.336, 20

Structure:
abc: 3.3380 3.3380 33.1330
angles: 90.00 90.00 120.00
Space group R-3m (No. 166, hexagonal axes)
Inequivalent atoms, fractional coordinates:
Nd1 0.0000 0.0000 0.0918
Ta1 0.0000 0.0000 0.0000
Br1 0.0000 0.0000 0.5000

***

4.
For Ho2B3O8, a crystal structure in Alexandria, relaxed with GGA-PBE gives the computed X-ray powder pattern in this record (Cu Kα (weighted mean of Kα1 and Kα2)).
Neutral-atom scattering factors, no anomalous dispersion.

Peak list (10 most intense, 10 to 80 degrees two-theta, in order of rising 2θ)
2θ (°), d/Å, Rel. int.
19.8, 4.480, 85
21.5, 4.142, 72
26.6, 3.355, 37
27.7, 3.220, 52
29.1, 3.064, 67
29.4, 3.041, 100
31.8, 2.815, 55
34.3, 2.615, 68
35.5, 2.529, 73
47.8, 1.905, 58

Structure:
abc: 12.8812 4.3744 8.9599
angles: 90.00 90.00 90.00
Space group Pbcn (No. 60)
Inequivalent atoms, fractional coordinates:
Ho1 0.1394 0.0550 0.0400
B1 0.0000 0.4211 0.7500
B2 0.1931 0.4837 0.3010
O1 0.0059 0.2096 0.8780
O2 0.0934 0.3785 0.2361
O3 0.1885 0.4637 0.4620
O4 0.2172 0.2020 0.7436

***

5.
For DyGa2Pt3, a crystal structure in Alexandria, relaxed with GGA-PBE gives the computed X-ray powder pattern in this record (Cu Kα (weighted mean of Kα1 and Kα2)).
Neutral-atom scattering factors, no anomalous dispersion.

Peak list (10 most intense, 10 to 80 degrees two-theta, in order of rising 2θ)
2θ (°), d/Å, Rel. int.
30.7, 2.908, 31
34.7, 2.583, 19
35.1, 2.558, 100
36.4, 2.469, 39
39.0, 2.309, 20
42.6, 2.122, 15
42.9, 2.109, 13
43.2, 2.093, 20
43.9, 2.063, 25
44.8, 2.022, 44

Structure:
abc: 16.8076 4.0440 9.9507
angles: 90.00 106.81 90.00
Space group C2/m (No. 12)
Inequivalent atoms, fractional coordinates:
Dy1 0.0000 0.0000 0.0000
Dy2 0.1644 0.0000 0.7086
Ga1 0.0401 0.5000 0.7794
Ga2 0.1384 0.5000 0.4543
Ga3 0.1928 0.0000 0.1241
Pt1 0.0000 0.5000 0.5000
Pt2 0.0405 0.0000 0.3320
Pt3 0.1128 0.5000 0.1881
Pt4 0.1770 0.5000 0.9515
Pt5 0.2189 0.0000 0.3896

***

6.
For K4SrSb3O12, a crystal structure in Alexandria, relaxed with GGA-PBE gives the computed X-ray powder pattern in this record (Cu Kα (weighted mean of Kα1 and Kα2)).
Neutral-atom scattering factors, no anomalous dispersion.

Peak list (10 most intense, 10 to 80 degrees two-theta, in order of rising 2θ)
2θ (°), d/Å, Rel. int.
14.8, 6.002, 4
20.9, 4.244, 50
29.8, 3.001, 100
42.6, 2.122, 38
47.9, 1.898, 21
52.8, 1.733, 38
61.8, 1.501, 22
66.0, 1.415, 10
70.1, 1.342, 17
78.0, 1.225, 7

Structure:
abc: 8.4881 8.4881 8.4881
angles: 90.00 90.00 90.00
Space group Im-3m (No. 229)
Inequivalent atoms, fractional coordinates:
K1 0.2500 0.2500 0.2500
Sr1 0.0000 0.0000 0.0000
Sb1 0.0000 0.0000 0.5000
O1 0.0000 0.0000 0.2774
O2 0.0000 0.2500 0.5000

***

7.
For La6Ni6P17, a crystal structure in Alexandria, relaxed with GGA-PBE gives the computed X-ray powder pattern in this record (Cu Kα (weighted mean of Kα1 and Kα2)).
Neutral-atom scattering factors, no anomalous dispersion.

Peak list (10 most intense, 10 to 80 degrees two-theta, in order of rising 2θ)
2θ (°), d/Å, Rel. int.
24.7, 3.606, 16
27.7, 3.225, 39
30.4, 2.944, 100
35.2, 2.550, 78
37.4, 2.404, 60
43.5, 2.082, 20
48.9, 1.862, 18
50.6, 1.803, 37
60.2, 1.538, 39
67.5, 1.388, 21

Structure:
abc: 10.1990 10.1990 10.1990
angles: 90.00 90.00 90.00
Space group I-43m (No. 217)
Inequivalent atoms, fractional coordinates:
La1 0.0000 0.0000 0.2896
Ni1 0.0000 0.2500 0.5000
P1 0.0000 0.0000 0.0000
P2 0.0673 0.2994 0.2994
P3 0.2139 0.2139 0.7861

***

8.
For PmBr2, a crystal structure in Alexandria, relaxed with GGA-PBE gives the computed X-ray powder pattern in this record (Cu Kα (weighted mean of Kα1 and Kα2)).
Neutral-atom scattering factors, no anomalous dispersion.

Peak list (10 most intense, 10 to 80 degrees two-theta, in order of rising 2θ)
2θ (°), d/Å, Rel. int.
11.3, 7.813, 100
26.0, 3.431, 18
26.4, 3.371, 26
28.3, 3.158, 21
29.6, 3.022, 31
32.8, 2.731, 35
34.7, 2.587, 31
36.7, 2.448, 34
45.6, 1.989, 25
58.5, 1.579, 20

Structure:
abc: 3.9868 6.9040 31.2534
angles: 90.00 90.00 90.00
Space group C222_1 (No. 20)
Inequivalent atoms, fractional coordinates:
Pm1 0.2421 0.0009 0.1235
Br1 0.2421 0.3325 0.9373
Br2 0.2419 0.3325 0.8157